# 1
For Ba3Ca7Tl4, a crystal structure in Alexandria, relaxed with PBE gives the computed powder diffractogram in this record (Cu Ka).
Lines closer than 0.1° are merged.

Cell and atoms:
```
Ba3Ca7Tl4
1.0
9.9066 -2.7270 0.0000
9.9066 2.7270 0.0000
-7.4377 0.0000 10.1329
Ba Ca Tl
3 7 4
Direct
0.0000 0.0000 0.0000
0.3065 0.3065 0.2933
0.6935 0.6935 0.7067
0.0000 0.0000 0.5000
0.1679 0.1679 0.4188
0.3098 0.3098 0.9708
0.4913 0.4913 0.7158
0.5087 0.5087 0.2842
0.6902 0.6902 0.0292
0.8321 0.8321 0.5812
0.1071 0.1071 0.8280
0.3328 0.3328 0.7328
0.6672 0.6672 0.2672
0.8929 0.8929 0.1720
```

Largest 6 diffraction maxima, in order of rising 2θ, 2θ from 5° to 70°:
2θ/deg	intensity
17.50	46.5
20.75	48.0
26.88	91.5
27.84	100.0
32.84	60.2
33.16	51.3

---

# 2
For BaCa2Tl3, a crystal structure in Alexandria, relaxed with PBE gives the computed powder diffractogram in this record (Cu Ka).
Lines closer than 0.1° are merged.

Cell and atoms:
```
BaCa2Tl3
1.0
4.0261 0.0000 0.0000
0.0000 4.0261 0.0000
0.0000 0.0000 12.0493
Ba Ca Tl
1 2 3
Direct
0.0000 0.0000 0.0000
0.0000 0.0000 0.3449
0.0000 0.0000 0.6551
0.5000 0.5000 0.1937
0.5000 0.5000 0.5000
0.5000 0.5000 0.8063
```

Largest 6 diffraction maxima, in order of rising 2θ, 2θ from 5° to 70°:
2θ/deg	intensity
22.09	25.5
31.45	100.0
45.03	13.5
50.71	7.9
55.99	33.0
65.63	9.4

---

# 3
For Ba3CaTl4, a crystal structure in Alexandria, relaxed with PBE gives the computed powder diffractogram in this record (Cu Ka).
Lines closer than 0.1° are merged.

Cell and atoms:
```
Ba3CaTl4
1.0
4.1684 0.0000 0.0000
0.0000 4.1684 0.0000
0.0000 0.0000 16.9922
Ba Ca Tl
3 1 4
Direct
0.0000 0.0000 0.0000
0.0000 0.0000 0.2608
0.0000 0.0000 0.7392
0.0000 0.0000 0.5000
0.5000 0.5000 0.1256
0.5000 0.5000 0.3981
0.5000 0.5000 0.6019
0.5000 0.5000 0.8744
```

Largest 6 diffraction maxima, in order of rising 2θ, 2θ from 5° to 70°:
2θ/deg	intensity
21.32	10.7
30.03	100.0
30.32	55.3
43.42	20.8
53.15	13.8
53.69	39.5